For TlAgGeTe3, a crystal structure in Alexandria, relaxed with GGA-PBE gives the computed powder diffractogram in this record (Cu Ka).

Most intense lines, 15 to 90 degrees two-theta, most intense first:
2.935 Å, 2θ = 30.45°, I 100, hkl 2 1 -1
3.206 Å, 2θ = 27.83°, I 56, hkl 1 1 -2
2.075 Å, 2θ = 43.62°, I 50, hkl 0 2 0
2.709 Å, 2θ = 33.06°, I 49, hkl 1 1 -3
2.878 Å, 2θ = 31.08°, I 44, hkl 1 1 2
2.971 Å, 2θ = 30.07°, I 42, hkl 1 0 3
2.901 Å, 2θ = 30.83°, I 26, hkl 2 1 0
2.474 Å, 2θ = 36.31°, I 24, hkl 3 0 1
1.933 Å, 2θ = 47.01°, I 23, hkl 1 0 5
3.525 Å, 2θ = 25.26°, I 20, hkl 0 0 3

Structure:
```
data_TlAgGeTe3
_cell_length_a 8.3823
_cell_length_b 4.1498
_cell_length_c 10.9280
_cell_angle_alpha 90.00
_cell_angle_beta 104.58
_cell_angle_gamma 90.00
_symmetry_space_group_name_H-M 'P 1'
_symmetry_Int_Tables_number 1
loop_
_symmetry_equiv_pos_as_xyz
'x,y,z'
loop_
_atom_site_label
_atom_site_type_symbol
_atom_site_fract_x
_atom_site_fract_y
_atom_site_fract_z
_atom_site_occupancy
Tl1 Tl 0.2271 0.2500 0.2368 1
Tl2 Tl 0.7729 0.7500 0.7632 1
Ag1 Ag 0.3269 0.7500 0.9109 1
Ag2 Ag 0.6731 0.2500 0.0891 1
Ge1 Ge 0.1380 0.2500 0.6369 1
Ge2 Ge 0.8620 0.7500 0.3631 1
Te1 Te 0.0927 0.2500 0.9047 1
Te2 Te 0.2172 0.7500 0.4910 1
Te3 Te 0.4875 0.2500 0.8125 1
Te4 Te 0.5125 0.7500 0.1875 1
Te5 Te 0.7828 0.2500 0.5090 1
Te6 Te 0.9073 0.7500 0.0953 1
```